Record 1
Ca5Pt2N6: theoretical powder diffractogram (Cu Kα X-rays), based on a crystal structure in Alexandria, relaxed with GGA-PBE.

Cell and atoms:
Cell lengths 6.113, 6.113, 12.147 Å; angles 102.67, 102.67, 68.60 degrees
Sites, in units of the cell vectors:
Ca1 0.115 0.885 0.750
Ca2 0.187 0.694 0.999
Ca3 0.208 0.460 0.268
Ca4 0.306 0.813 0.501
Ca5 0.460 0.208 0.768
Ca6 0.540 0.792 0.232
Ca7 0.694 0.187 0.499
Ca8 0.792 0.540 0.732
Ca9 0.813 0.306 0.001
Ca10 0.885 0.115 0.250
Pt1 0.208 0.321 0.542
Pt2 0.321 0.208 0.042
Pt3 0.679 0.792 0.958
Pt4 0.792 0.679 0.458
N1 0.080 0.177 0.630
N2 0.174 0.246 0.888
N3 0.177 0.080 0.130
N4 0.246 0.174 0.388
N5 0.407 0.504 0.626
N6 0.496 0.593 0.874
N7 0.504 0.407 0.126
N8 0.593 0.496 0.374
N9 0.754 0.826 0.612
N10 0.823 0.920 0.870
N11 0.826 0.754 0.112
N12 0.920 0.823 0.370

Peak list (8 most intense, 2θ = 5–70°, by intensity)
2θ (°)  intensity
15.1  100
18.2  77
33.2  72
31.8  49
20.4  48
32.2  40
34.7  35
23.6  34



Record 2
Ca3Cd4Ge4: theoretical powder diffractogram (Cu Kα X-rays), based on a crystal structure in Alexandria, relaxed with GGA-PBE.

Cell and atoms:
Cell lengths 8.726, 8.726, 8.726 Å; angles 148.91, 130.64, 59.50 degrees
Sites, in units of the cell vectors:
Ca1 0.000 0.000 0.000
Ca2 0.382 0.882 0.500
Ca3 0.618 0.118 0.500
Cd1 0.033 0.332 0.701
Cd2 0.370 0.668 0.701
Cd3 0.630 0.332 0.299
Cd4 0.967 0.668 0.299
Ge1 0.215 0.215 0.000
Ge2 0.323 0.500 0.823
Ge3 0.677 0.500 0.177
Ge4 0.785 0.785 0.000

Peak list (8 most intense, 2θ = 5–70°, by intensity)
2θ (°)  intensity
31.7  100
43.6  76
38.5  67
32.8  66
35.9  62
19.9  51
11.7  44
43.4  39